# 1
LiTbNdZn: simulated X-ray powder pattern (Cu Kα), based on a cell relaxed with GGA-PBE.

Most intense lines, 2θ = 10–90°, in order of rising 2θ:
2θ (°)  intensity  hkl
11.9  14.6  0 0 1
24.0  14.3  0 0 2
24.1  29.7  1 0 0
34.3  100.0  1 1 0
42.3  12.9  1 1 2
49.3  12.2  2 0 0
55.6  12.0  2 1 0
61.2  10.7  1 1 4
61.4  24.0  2 1 2
82.6  10.5  3 1 0

```
data_LiTbNdZn
_cell_length_a 3.6934
_cell_length_b 3.6934
_cell_length_c 7.4282
_cell_angle_alpha 90.00
_cell_angle_beta 90.00
_cell_angle_gamma 90.00
_space_group_name_H-M_alt 'P 4 m m'
_space_group_IT_number 99
loop_
_space_group_symop_operation_xyz
'x,y,z'
'-y,x,z'
'-x,-y,z'
'y,-x,z'
'-x,y,z'
'y,x,z'
'x,-y,z'
'-y,-x,z'
loop_
_atom_site_label
_atom_site_fract_x
_atom_site_fract_y
_atom_site_fract_z
Li1 0.0000 0.0000 0.0000
Tb1 0.5000 0.5000 0.2581
Nd1 0.5000 0.5000 0.7241
Zn1 0.0000 0.0000 0.4791
```

# 2
Li3Nd5Te8: simulated X-ray powder pattern (Cu Kα), based on a cell relaxed with GGA-PBE.

Most intense lines, 2θ = 10–90°, in order of rising 2θ:
2θ (°)  intensity  hkl
12.2  12.5  0 0 3
23.5  14.1  0 2 1
28.4  100.0  0 2 4
31.1  10.3  2 0 5
40.6  75.5  2 2 0
50.3  20.4  4 0 4
58.8  12.5  0 4 8
66.5  17.3  2 4 4
66.7  16.6  2 2 12
73.9  18.9  6 0 0

```
data_Li3Nd5Te8
_cell_length_a 8.8889
_cell_length_b 8.8889
_cell_length_c 21.7012
_cell_angle_alpha 90.00
_cell_angle_beta 90.00
_cell_angle_gamma 120.00
_space_group_name_H-M_alt 'R -3 m'
_space_group_IT_number 166
_space_group_name_Hall '-R 3 2"'
loop_
_atom_site_label
_atom_site_fract_x
_atom_site_fract_y
_atom_site_fract_z
Li1 0.0000 0.5000 0.0000
Nd1 0.0000 0.0000 0.0000
Nd2 0.0000 0.0000 0.5000
Nd3 0.0000 0.5000 0.5000
Te1 0.0000 0.0000 0.2542
Te2 0.0075 0.5037 0.2538
```

# 3
LiNd3Th4Te8: simulated X-ray powder pattern (Cu Kα), based on a cell relaxed with GGA-PBE.

Most intense lines, 2θ = 10–90°, in order of rising 2θ:
2θ (°)  intensity  hkl
28.4  100.0  0 2 4
39.5  41.2  2 0 8
41.6  35.6  2 2 0
47.5  8.1  0 0 12
51.1  19.8  4 0 4
58.7  12.8  0 4 8
64.9  18.8  2 2 12
68.0  16.7  2 4 4
70.1  7.5  0 2 16
74.5  12.6  4 2 8

```
data_LiNd3Th4Te8
_cell_length_a 8.6819
_cell_length_b 8.6819
_cell_length_c 22.9823
_cell_angle_alpha 90.00
_cell_angle_beta 90.00
_cell_angle_gamma 120.00
_space_group_name_H-M_alt 'R -3 m'
_space_group_IT_number 166
_space_group_name_Hall '-R 3 2"'
loop_
_atom_site_label
_atom_site_fract_x
_atom_site_fract_y
_atom_site_fract_z
Li1 0.0000 0.0000 0.0000
Nd1 0.0000 0.5000 0.0000
Th1 0.0000 0.0000 0.5000
Th2 0.0000 0.5000 0.5000
Te1 0.0000 0.0000 0.2507
Te2 0.0124 0.5062 0.7467
```

# 4
Li4NdTm3Te8: simulated X-ray powder pattern (Cu Kα), based on a cell relaxed with GGA-PBE.

Most intense lines, 2θ = 10–90°, in order of rising 2θ:
2θ (°)  intensity  hkl
12.5  31.1  0 0 3
24.0  23.8  0 2 1
29.1  100.0  0 2 4
31.8  13.3  2 0 5
41.6  37.8  2 2 0
41.7  37.5  2 0 8
51.6  20.1  4 0 4
68.3  17.0  2 4 4
68.5  16.9  2 2 12
76.0  18.8  6 0 0

```
data_Li4NdTm3Te8
_cell_length_a 8.6862
_cell_length_b 8.6862
_cell_length_c 21.1772
_cell_angle_alpha 90.00
_cell_angle_beta 90.00
_cell_angle_gamma 120.00
_space_group_name_H-M_alt 'R -3 m'
_space_group_IT_number 166
_space_group_name_Hall '-R 3 2"'
loop_
_atom_site_label
_atom_site_fract_x
_atom_site_fract_y
_atom_site_fract_z
Li1 0.0000 0.0000 0.0000
Li2 0.0000 0.5000 0.0000
Nd1 0.0000 0.0000 0.5000
Tm1 0.0000 0.5000 0.5000
Te1 0.0000 0.0000 0.2503
Te2 0.0092 0.5046 0.7480
```

# 5
LiNd2Tm3Te6: simulated X-ray powder pattern (Cu Kα), based on a cell relaxed with GGA-PBE.

Most intense lines, 2θ = 10–90°, in order of rising 2θ:
2θ (°)  intensity  hkl
12.3  6.5  2 0 -1
28.9  100.0  1 1 -2
41.1  37.6  7 1 -2
41.4  24.7  5 1 2
41.6  12.6  0 2 0
50.7  6.6  8 0 -4
51.2  6.5  4 0 4
51.4  13.3  6 2 0
59.9  8.2  2 2 -4
67.5  10.8  3 1 -6

```
data_LiNd2Tm3Te6
_cell_length_a 19.1374
_cell_length_b 4.3436
_cell_length_c 8.7880
_cell_angle_alpha 90.00
_cell_angle_beta 103.77
_cell_angle_gamma 90.00
_space_group_name_H-M_alt 'C 1 2/m 1'
_space_group_IT_number 12
loop_
_space_group_symop_operation_xyz
'x,y,z'
'-x,-y,-z'
'-x,y,-z'
'x,-y,z'
'x+1/2,y+1/2,z'
'-x+1/2,-y+1/2,-z'
'-x+1/2,y+1/2,-z'
'x+1/2,-y+1/2,z'
loop_
_atom_site_label
_atom_site_fract_x
_atom_site_fract_y
_atom_site_fract_z
Li1 0.0000 0.0000 0.0000
Nd1 0.1715 0.5000 0.3445
Tm1 0.0000 0.0000 0.5000
Tm2 0.1701 0.5000 0.8326
Te1 0.0029 0.5000 0.7540
Te2 0.1606 0.0000 0.5943
Te3 0.1635 0.0000 0.0724
```

# 6
LiNd2Tl4: simulated X-ray powder pattern (Cu Kα), based on a cell relaxed with GGA-PBE.

Most intense lines, 2θ = 10–90°, in order of rising 2θ:
2θ (°)  intensity  hkl
27.9  92.5  1 1 2
32.8  45.0  0 0 6
33.8  100.0  1 1 4
36.6  64.6  2 0 0
49.9  49.5  2 0 6
52.7  23.0  2 2 0
60.7  21.5  3 1 2
62.6  17.0  1 1 10
63.5  22.6  2 2 6
64.1  32.2  3 1 4

```
data_LiNd2Tl4
_cell_length_a 4.9128
_cell_length_b 4.9128
_cell_length_c 16.3999
_cell_angle_alpha 90.00
_cell_angle_beta 90.00
_cell_angle_gamma 90.00
_space_group_name_H-M_alt 'I 4/m m m'
_space_group_IT_number 139
_space_group_name_Hall '-I 4 2'
loop_
_atom_site_label
_atom_site_fract_x
_atom_site_fract_y
_atom_site_fract_z
Li1 0.0000 0.0000 0.0000
Nd1 0.0000 0.0000 0.3585
Tl1 0.0000 0.0000 0.1659
Tl2 0.0000 0.5000 0.0000
```

# 7
LiNd2Tl4: simulated X-ray powder pattern (Cu Kα), based on a cell relaxed with GGA-PBE.

Most intense lines, 2θ = 10–90°, in order of rising 2θ:
2θ (°)  intensity  hkl
20.6  23.7  1 0 1
23.7  13.0  0 0 2
24.0  25.3  1 1 0
33.9  100.0  1 1 2
34.2  49.2  2 0 0
42.0  12.0  2 0 2
49.1  18.0  2 2 0
60.6  19.2  2 0 4
61.0  37.7  3 1 2
71.4  11.8  2 2 4

```
data_LiNd2Tl4
_cell_length_a 5.2503
_cell_length_b 5.2503
_cell_length_c 7.5157
_cell_angle_alpha 90.00
_cell_angle_beta 90.00
_cell_angle_gamma 90.00
_space_group_name_H-M_alt 'P 4/m m m'
_space_group_IT_number 123
_space_group_name_Hall '-P 4 2'
loop_
_atom_site_label
_atom_site_fract_x
_atom_site_fract_y
_atom_site_fract_z
Li1 0.0000 0.0000 0.0000
Nd1 0.0000 0.0000 0.5000
Nd2 0.5000 0.5000 0.0000
Tl1 0.0000 0.5000 0.2504
```

# 8
Li2Nd3Tl5: simulated X-ray powder pattern (Cu Kα), based on a cell relaxed with GGA-PBE.

Most intense lines, 2θ = 10–90°, in order of rising 2θ:
2θ (°)  intensity  hkl
20.4  25.6  0 0 1
27.4  64.4  2 1 1
30.9  25.4  2 2 1
33.1  100.0  3 1 1
33.9  55.0  4 1 0
36.1  34.7  3 2 1
36.8  33.5  4 2 0
41.4  29.2  0 0 2
54.5  28.8  4 1 2
64.0  27.7  7 1 1

```
data_Li2Nd3Tl5
_cell_length_a 10.9148
_cell_length_b 10.9148
_cell_length_c 4.3632
_cell_angle_alpha 90.00
_cell_angle_beta 90.00
_cell_angle_gamma 90.00
_space_group_name_H-M_alt 'P 4/m b m'
_space_group_IT_number 127
_space_group_name_Hall '-P 4 2ab'
loop_
_atom_site_label
_atom_site_fract_x
_atom_site_fract_y
_atom_site_fract_z
Li1 0.1204 0.3796 0.0000
Nd1 0.0000 0.0000 0.0000
Nd2 0.1728 0.6728 0.0000
Tl1 0.0000 0.5000 0.5000
Tl2 0.0755 0.2133 0.5000
```

# 9
LiNd3Tl2: simulated X-ray powder pattern (Cu Kα), based on a cell relaxed with GGA-PBE.

Most intense lines, 2θ = 10–90°, in order of rising 2θ:
2θ (°)  intensity  hkl
21.8  65.8  0 4 0
26.6  52.5  2 0 0
27.0  53.0  0 0 2
28.8  36.9  2 2 0
29.2  36.6  0 2 2
34.6  72.7  2 4 0
34.9  72.6  0 4 2
38.1  75.1  1 6 1
38.3  100.0  2 0 2
59.8  36.0  1 10 1

```
data_LiNd3Tl2
_cell_length_a 6.7019
_cell_length_b 16.3657
_cell_length_c 6.5978
_cell_angle_alpha 90.00
_cell_angle_beta 90.00
_cell_angle_gamma 90.00
_space_group_name_H-M_alt 'I b a m'
_space_group_IT_number 72
_space_group_name_Hall '-I 2 2c'
loop_
_atom_site_label
_atom_site_fract_x
_atom_site_fract_y
_atom_site_fract_z
Li1 0.0000 0.0000 0.2500
Nd1 0.0000 0.5000 0.2500
Nd2 0.2320 0.1771 0.0000
Tl1 0.2367 0.1293 0.5000
```

# 10
Li2NdTm2Tl2: simulated X-ray powder pattern (Cu Kα), based on a cell relaxed with GGA-PBE.

Most intense lines, 2θ = 10–90°, in order of rising 2θ:
2θ (°)  intensity  hkl
21.4  56.4  1 0 1
22.1  29.4  0 1 2
31.7  55.4  1 0 7
34.3  100.0  0 1 8
37.0  91.6  1 1 0
49.5  19.3  0 2 7
51.4  40.5  2 0 8
59.7  17.4  1 0 16
65.0  56.3  1 2 8
88.8  25.3  3 1 8

```
data_Li2NdTm2Tl2
_cell_length_a 4.8615
_cell_length_b 4.8615
_cell_length_c 26.6607
_cell_angle_alpha 90.00
_cell_angle_beta 90.00
_cell_angle_gamma 120.00
_space_group_name_H-M_alt 'R -3 m'
_space_group_IT_number 166
_space_group_name_Hall '-R 3 2"'
loop_
_atom_site_label
_atom_site_fract_x
_atom_site_fract_y
_atom_site_fract_z
Li1 0.0000 0.0000 0.0932
Nd1 0.0000 0.0000 0.5000
Tm1 0.0000 0.0000 0.3710
Tl1 0.0000 0.0000 0.2421
```

# 11
LiNd6Y: simulated X-ray powder pattern (Cu Kα), based on a cell relaxed with GGA-PBE.

Most intense lines, 2θ = 10–90°, in order of rising 2θ:
2θ (°)  intensity  hkl
26.0  7.7  1 1 2
30.3  100.0  1 1 4
34.7  34.9  2 0 0
35.9  17.8  0 0 8
49.9  12.5  2 2 0
50.8  24.0  2 0 8
59.5  29.2  3 1 4
61.1  12.9  1 1 12
63.0  12.3  2 2 8
82.7  10.9  3 1 12

```
data_LiNd6Y
_cell_length_a 5.1654
_cell_length_b 5.1654
_cell_length_c 20.0185
_cell_angle_alpha 90.00
_cell_angle_beta 90.00
_cell_angle_gamma 90.00
_space_group_name_H-M_alt 'I 4/m m m'
_space_group_IT_number 139
_space_group_name_Hall '-I 4 2'
loop_
_atom_site_label
_atom_site_fract_x
_atom_site_fract_y
_atom_site_fract_z
Li1 0.0000 0.0000 0.0000
Nd1 0.0000 0.0000 0.2519
Nd2 0.0000 0.5000 0.1213
Y1 0.0000 0.0000 0.5000
```

# 12
Li6NdZn6: simulated X-ray powder pattern (Cu Kα), based on a cell relaxed with GGA-PBE.

Most intense lines, 2θ = 10–90°, in order of rising 2θ:
2θ (°)  intensity  hkl
13.6  100.0  0 1 1
19.1  55.7  0 0 2
27.3  59.0  0 2 2
27.6  96.2  1 1 2
38.8  40.5  0 0 4
39.2  79.9  0 4 0
39.3  44.7  1 3 2
40.0  84.9  2 2 0
44.7  30.4  2 2 2
56.9  44.9  2 2 4

```
data_Li6NdZn6
_cell_length_a 5.1739
_cell_length_b 9.1800
_cell_length_c 9.2877
_cell_angle_alpha 90.00
_cell_angle_beta 90.00
_cell_angle_gamma 90.00
_space_group_name_H-M_alt 'I m m m'
_space_group_IT_number 71
_space_group_name_Hall '-I 2 2'
loop_
_atom_site_label
_atom_site_fract_x
_atom_site_fract_y
_atom_site_fract_z
Li1 0.0000 0.0000 0.1530
Li2 0.0000 0.2902 0.0000
Li3 0.0000 0.3564 0.5000
Nd1 0.0000 0.0000 0.5000
Zn1 0.0000 0.5000 0.2151
Zn2 0.2500 0.2500 0.2500
```